The following is a calculated PXRD pattern of NpCd5Rh6. It was derived from a PBE-relaxed structure, using Cu Kα.
Peak positions follow from Bragg's law for the DFT cell and can differ from measured ones.

Structural model:
Unit cell a=4.622 b=6.515 c=7.257 alpha=90.00 beta=108.48 gamma=90.00
Space group P2/m (No. 10)
Symmetry-distinct sites (fractional):
Np1 0.000 0.000 0.000 x1
Cd1 0.000 0.500 0.000 x1
Cd2 0.326 0.000 0.653 x2
Cd3 0.331 0.500 0.662 x2
Rh1 0.157 0.241 0.315 x4
Rh2 0.500 0.238 0.000 x2

Main lines, low angle first (2θ = 15–90°):
2θ (°)  d (Å)  I/Imax
38.97  2.311  25.7
39.11  2.303  100.0
39.27  2.294  24.0
56.52  1.628  24.5
70.69  1.333  16.8
71.01  1.327  15.4